(1)
Computed X-ray powder pattern
Compound: Mn6Os2N
Radiation: CuKα
Structure: a PBE-relaxed structure
Intensities are scaled so that the largest is 100.

Peak list (10 most intense, 2θ = 15–90°, in order of rising 2θ)
- 2θ 24.2, rel. 17
- 2θ 28.0, rel. 12
- 2θ 33.9, rel. 11
- 2θ 37.1, rel. 11
- 2θ 42.1, rel. 100
- 2θ 48.7, rel. 35
- 2θ 49.6, rel. 16
- 2θ 72.0, rel. 20
- 2θ 86.4, rel. 23
- 2θ 87.7, rel. 11

Structural model:
abc: 6.4463 6.4463 2.6457
angles: 90.00 90.00 110.43
Fractional positions:
Mn 0.0000 0.5000 0.5000
Mn 0.1335 0.8665 0.0000
Mn 0.2598 0.2598 0.5000
Mn 0.5000 0.0000 0.5000
Mn 0.7402 0.7402 0.5000
Mn 0.8665 0.1335 0.0000
Os 0.3714 0.6286 0.0000
Os 0.6286 0.3714 0.0000
N 0.0000 0.0000 0.5000

(2)
Computed X-ray powder pattern
Compound: MnPN
Radiation: CuKα
Structure: a PBE-relaxed structure
Intensities are scaled so that the largest is 100.

Peak list (10 most intense, 2θ = 15–90°, in order of rising 2θ)
- 2θ 21.9, rel. 25
- 2θ 36.0, rel. 100
- 2θ 44.5, rel. 26
- 2θ 50.1, rel. 24
- 2θ 58.2, rel. 9
- 2θ 58.4, rel. 18
- 2θ 63.3, rel. 17
- 2θ 70.4, rel. 8
- 2θ 76.2, rel. 5
- 2θ 76.4, rel. 5

Structural model:
abc: 3.1595 3.1595 4.4513
angles: 110.74 110.74 60.20
Fractional positions:
Mn 0.0000 0.0000 0.0000
P 0.4501 0.4501 0.3480
N 0.5843 0.5843 0.7518

(3)
Computed X-ray powder pattern
Compound: MnPSeSN
Radiation: CuKα
Structure: a PBE-relaxed structure
Intensities are scaled so that the largest is 100.

Peak list (10 most intense, 2θ = 15–90°, in order of rising 2θ)
- 2θ 21.1, rel. 100
- 2θ 24.5, rel. 60
- 2θ 24.8, rel. 28
- 2θ 26.8, rel. 44
- 2θ 28.1, rel. 67
- 2θ 30.6, rel. 35
- 2θ 35.7, rel. 44
- 2θ 39.1, rel. 41
- 2θ 42.6, rel. 37
- 2θ 49.6, rel. 30

Structural model:
abc: 3.8163 4.4026 5.9752
angles: 81.79 79.24 74.15
Fractional positions:
Mn 0.0000 0.0000 0.0000
P 0.1523 0.4318 0.1111
Se 0.8205 0.1484 0.4174
S 0.1891 0.8222 0.6430
N 0.4712 0.1367 0.0068

(4)
Computed X-ray powder pattern
Compound: MnPSeSN
Radiation: CuKα
Structure: a PBE-relaxed structure
Intensities are scaled so that the largest is 100.

Peak list (10 most intense, 2θ = 15–90°, in order of rising 2θ)
- 2θ 16.8, rel. 61
- 2θ 20.1, rel. 26
- 2θ 22.8, rel. 100
- 2θ 29.8, rel. 27
- 2θ 38.0, rel. 37
- 2θ 39.6, rel. 31
- 2θ 42.0, rel. 33
- 2θ 44.2, rel. 33
- 2θ 48.0, rel. 32
- 2θ 57.5, rel. 16

Structural model:
abc: 5.3181 2.8059 6.7355
angles: 90.00 97.42 90.00
Fractional positions:
Mn 0.0000 0.0000 0.0000
P 0.4514 0.5000 0.2985
Se 0.1056 0.5000 0.7479
S 0.6927 0.5000 0.0294
N 0.2748 0.0000 0.2173